(1)
Diffraction record for Hg3Se2I2. The powder XRD pattern is theoretical, not measured: it uses a cell relaxed with GGA-PBE and Cu Kα.
No peak broadening, texture or thermal motion is included.

Main lines, in order of rising 2θ (10 to 90 degrees two-theta):
two_theta  Rel. int.  h k l
21.75  40  1 4 1
31.01  100  2 4 2
35.69  45  4 0 0
35.82  33  0 8 0
36.37  37  0 0 4
51.91  39  4 0 4

```
data_Hg3Se2I2
_cell_length_a 10.0629
_cell_length_b 20.0530
_cell_length_c 9.8816
_cell_angle_alpha 90.00
_cell_angle_beta 90.00
_cell_angle_gamma 90.00
_space_group_name_H-M_alt 'I m m a'
_space_group_IT_number 74
_space_group_name_Hall '-I 2b 2'
loop_
_atom_site_label
_atom_site_type_symbol
_atom_site_fract_x
_atom_site_fract_y
_atom_site_fract_z
Hg1 Hg 0.0000 0.1204 0.0464
Hg2 Hg 0.2162 0.2500 0.5081
Hg3 Hg 0.2500 0.0951 0.7500
Se1 Se 0.2471 0.1226 0.4925
I1 I 0.0000 0.9996 0.2539
I2 I 0.0000 0.2500 0.2551
I3 I 0.0000 0.2500 0.7382
```

=====

(2)
Diffraction record for Tb4PrEr7. The powder XRD pattern is theoretical, not measured: it uses a cell relaxed with GGA-PBE and Cu Kα.
No peak broadening, texture or thermal motion is included.

Main lines, in order of rising 2θ (10 to 90 degrees two-theta):
two_theta  Rel. int.  h k l
29.07  37  1 -2 0
31.41  50  0 0 3
32.12  100  2 0 2
33.84  89  2 0 -1
51.13  39  3 2 1
61.20  23  3 2 4

```
data_Tb4PrEr7
_cell_length_a 6.1870
_cell_length_b 7.1478
_cell_length_c 8.7959
_cell_angle_alpha 89.96
_cell_angle_beta 76.29
_cell_angle_gamma 89.88
_space_group_name_H-M_alt 'P -1'
_space_group_IT_number 2
_space_group_name_Hall '-P 1'
loop_
_atom_site_label
_atom_site_type_symbol
_atom_site_fract_x
_atom_site_fract_y
_atom_site_fract_z
Tb1 Tb 0.2205 0.2499 0.3355
Tb2 Tb 0.2785 0.9996 0.6662
Pr1 Pr 0.5000 0.5000 0.0000
Er1 Er 0.0000 0.2501 0.9997
Er2 Er 0.2213 0.7511 0.3345
Er3 Er 0.2782 0.4996 0.6657
Er4 Er 0.5000 0.0000 0.0000
```

=====

(3)
Diffraction record for Ac6In2Ru. The powder XRD pattern is theoretical, not measured: it uses a cell relaxed with GGA-PBE and Cu Kα.
No peak broadening, texture or thermal motion is included.

Main lines, in order of rising 2θ (10 to 90 degrees two-theta):
two_theta  Rel. int.  h k l
26.40  51  1 0 -4
27.46  100  0 2 2
27.68  36  2 0 0
28.03  37  2 0 -4
31.62  47  0 0 4
32.26  58  2 2 -2

```
data_Ac6In2Ru
_cell_length_a 7.7713
_cell_length_b 7.9312
_cell_length_c 13.6467
_cell_angle_alpha 90.00
_cell_angle_beta 123.97
_cell_angle_gamma 90.00
_space_group_name_H-M_alt 'P 1 21/c 1'
_space_group_IT_number 14
_space_group_name_Hall '-P 2ybc'
loop_
_atom_site_label
_atom_site_type_symbol
_atom_site_fract_x
_atom_site_fract_y
_atom_site_fract_z
Ac1 Ac 0.1607 0.1996 0.4630
Ac2 Ac 0.2663 0.6963 0.4640
Ac3 Ac 0.3320 0.0067 0.2516
In1 In 0.2243 0.0609 0.7470
Ru1 Ru 0.5000 0.0000 0.5000
```

=====

(4)
Diffraction record for Rb3Zr3AgTe8. The powder XRD pattern is theoretical, not measured: it uses a cell relaxed with GGA-PBE and Cu Kα.
No peak broadening, texture or thermal motion is included.

Main lines, in order of rising 2θ (10 to 90 degrees two-theta):
two_theta  Rel. int.  h k l
10.21  35  0 0 3
27.85  100  0 2 4
34.31  19  0 2 7
36.91  29  2 0 8
42.53  37  2 2 0
51.60  17  4 0 4

```
data_Rb3Zr3AgTe8
_cell_length_a 8.5032
_cell_length_b 8.5032
_cell_length_c 25.9810
_cell_angle_alpha 90.00
_cell_angle_beta 90.00
_cell_angle_gamma 120.00
_space_group_name_H-M_alt 'R -3 m'
_space_group_IT_number 166
_space_group_name_Hall '-R 3 2"'
loop_
_atom_site_label
_atom_site_type_symbol
_atom_site_fract_x
_atom_site_fract_y
_atom_site_fract_z
Rb1 Rb 0.0000 0.5000 0.0000
Zr1 Zr 0.0000 0.5000 0.5000
Ag1 Ag 0.0000 0.0000 0.5000
Te1 Te 0.0000 0.0000 0.2317
Te2 Te 0.0121 0.5061 0.7700
```

=====

(5)
Diffraction record for U2Tc2P2C. The powder XRD pattern is theoretical, not measured: it uses a cell relaxed with GGA-PBE and Cu Kα.
No peak broadening, texture or thermal motion is included.

Main lines, in order of rising 2θ (10 to 90 degrees two-theta):
two_theta  Rel. int.  h k l
24.48  67  1 1 0
32.56  43  2 0 1
33.29  72  3 1 -1
37.28  100  1 1 -2
37.44  37  3 1 0
45.70  33  0 2 0

```
data_U2Tc2P2C
_cell_length_a 10.9812
_cell_length_b 3.9704
_cell_length_c 6.4020
_cell_angle_alpha 90.00
_cell_angle_beta 124.50
_cell_angle_gamma 90.00
_space_group_name_H-M_alt 'C 1 2/m 1'
_space_group_IT_number 12
_space_group_name_Hall '-C 2y'
loop_
_atom_site_label
_atom_site_type_symbol
_atom_site_fract_x
_atom_site_fract_y
_atom_site_fract_z
U1 U 0.0582 0.0000 0.2975
Tc1 Tc 0.2046 0.5000 0.1010
P1 P 0.1710 0.5000 0.6905
C1 C 0.0000 0.5000 0.0000
```

=====

(6)
Diffraction record for LiTm2Hg5. The powder XRD pattern is theoretical, not measured: it uses a cell relaxed with GGA-PBE and Cu Kα.
No peak broadening, texture or thermal motion is included.

Main lines, in order of rising 2θ (10 to 90 degrees two-theta):
two_theta  Rel. int.  h k l
18.69  12  1 0 1
35.18  100  1 1 4
35.80  49  2 0 0
51.53  17  2 2 0
62.71  18  2 0 8
63.93  36  3 1 4

```
data_LiTm2Hg5
_cell_length_a 5.0159
_cell_length_b 5.0159
_cell_length_c 14.6903
_cell_angle_alpha 90.00
_cell_angle_beta 90.00
_cell_angle_gamma 90.00
_space_group_name_H-M_alt 'I 4/m m m'
_space_group_IT_number 139
_space_group_name_Hall '-I 4 2'
loop_
_atom_site_label
_atom_site_type_symbol
_atom_site_fract_x
_atom_site_fract_y
_atom_site_fract_z
Li1 Li 0.0000 0.0000 0.0000
Tm1 Tm 0.0000 0.0000 0.2588
Hg1 Hg 0.0000 0.0000 0.5000
Hg2 Hg 0.0000 0.5000 0.1215
```

=====

(7)
Diffraction record for CuSi23. The powder XRD pattern is theoretical, not measured: it uses a cell relaxed with GGA-PBE and Cu Kα.
No peak broadening, texture or thermal motion is included.

Main lines, in order of rising 2θ (10 to 90 degrees two-theta):
two_theta  Rel. int.  h k l
12.26  58  1 1 0
19.44  52  2 1 0
32.82  100  3 2 1
37.37  23  3 3 0
52.25  25  5 3 0
55.48  43  5 3 2

```
data_CuSi23
_cell_length_a 10.2094
_cell_length_b 10.2094
_cell_length_c 10.2094
_cell_angle_alpha 90.00
_cell_angle_beta 90.00
_cell_angle_gamma 90.00
_space_group_name_H-M_alt 'P m -3 n'
_space_group_IT_number 223
_space_group_name_Hall '-P 4n 2 3'
loop_
_atom_site_label
_atom_site_type_symbol
_atom_site_fract_x
_atom_site_fract_y
_atom_site_fract_z
Cu1 Cu 0.0000 0.0000 0.0000
Si1 Si 0.0000 0.1167 0.3081
Si2 Si 0.0000 0.2500 0.5000
Si3 Si 0.1825 0.1825 0.1825
```

=====

(8)
Diffraction record for PmY15Sc4. The powder XRD pattern is theoretical, not measured: it uses a cell relaxed with GGA-PBE and Cu Kα.
No peak broadening, texture or thermal motion is included.

Main lines, in order of rising 2θ (10 to 90 degrees two-theta):
two_theta  Rel. int.  h k l
31.16  100  1 1 5
36.14  50  2 0 0
52.03  33  2 2 0
61.91  39  3 1 5
64.99  11  2 2 10
85.06  15  3 3 5

```
data_PmY15Sc4
_cell_length_a 4.9738
_cell_length_b 4.9738
_cell_length_c 24.8276
_cell_angle_alpha 90.00
_cell_angle_beta 90.00
_cell_angle_gamma 90.00
_space_group_name_H-M_alt 'P 4/m m m'
_space_group_IT_number 123
_space_group_name_Hall '-P 4 2'
loop_
_atom_site_label
_atom_site_type_symbol
_atom_site_fract_x
_atom_site_fract_y
_atom_site_fract_z
Pm1 Pm 0.0000 0.0000 0.0000
Y1 Y 0.0000 0.5000 0.1044
Y2 Y 0.0000 0.5000 0.3022
Y3 Y 0.0000 0.5000 0.5000
Y4 Y 0.5000 0.5000 0.0000
Y5 Y 0.5000 0.5000 0.2040
Y6 Y 0.5000 0.5000 0.4011
Sc1 Sc 0.0000 0.0000 0.2031
Sc2 Sc 0.0000 0.0000 0.4011
```